[1]
Theoretical powder diffraction line list of RbMg14CoO16 for Cu Kα X-rays, from a structure optimized by DFT (PBE+U).
Neutral-atom scattering factors, no anomalous dispersion.

Most intense lines, 10 to 80 degrees two-theta, by angle:
(hkl)	Position (°2θ)	Rel. int.
0 0 1	10.1	16.3
0 2 0	20.5	11.0
0 2 1	22.9	14.0
0 2 2	28.9	9.9
1 2 2	35.7	33.3
0 0 4	41.1	51.4
2 0 0	41.7	100.0
2 0 4	59.9	57.2
2 4 0	60.4	28.4
2 4 4	75.7	26.1

Structural model:
```
data_RbMg14CoO16
_cell_length_a 4.3365
_cell_length_b 8.6585
_cell_length_c 8.7935
_cell_angle_alpha 90.00
_cell_angle_beta 90.00
_cell_angle_gamma 90.00
_space_group_name_H-M_alt 'P m m m'
_space_group_IT_number 47
loop_
_space_group_symop_operation_xyz
'x,y,z'
'-x,-y,-z'
'-x,-y,z'
'x,y,-z'
'x,-y,-z'
'-x,y,z'
'-x,y,-z'
'x,-y,z'
loop_
_atom_site_label
_atom_site_fract_x
_atom_site_fract_y
_atom_site_fract_z
Rb1 0.0000 0.0000 0.0000
Mg1 0.0000 0.0000 0.5000
Mg2 0.0000 0.2536 0.2570
Mg3 0.0000 0.5000 0.5000
Mg4 0.5000 0.0000 0.2644
Mg5 0.5000 0.2519 0.5000
Mg6 0.5000 0.2611 0.0000
Mg7 0.5000 0.5000 0.2522
Co1 0.0000 0.5000 0.0000
O1 0.0000 0.0000 0.2790
O2 0.0000 0.2560 0.5000
O3 0.0000 0.2826 0.0000
O4 0.0000 0.5000 0.2593
O5 0.5000 0.0000 0.0000
O6 0.5000 0.0000 0.5000
O7 0.5000 0.2497 0.2474
O8 0.5000 0.5000 0.0000
O9 0.5000 0.5000 0.5000
```

***

[2]
Theoretical powder diffraction line list of TlCoF3 for Cu Kα X-rays, from a structure optimized by DFT (PBE+U).
Neutral-atom scattering factors, no anomalous dispersion.

Most intense lines, 10 to 80 degrees two-theta, by angle:
(hkl)	Position (°2θ)	Rel. int.
1 0 0	21.2	26.2
1 1 0	30.1	100.0
1 1 1	37.1	25.3
2 0 0	43.1	32.8
2 1 0	48.5	13.8
2 1 1	53.4	41.1
2 2 0	62.5	20.5
3 0 0	66.8	7.3
3 1 0	71.0	17.7
3 1 1	75.0	9.1

Structural model:
```
data_TlCoF3
_cell_length_a 4.2003
_cell_length_b 4.2003
_cell_length_c 4.2003
_cell_angle_alpha 90.00
_cell_angle_beta 90.00
_cell_angle_gamma 90.00
_space_group_name_H-M_alt 'P m -3 m'
_space_group_IT_number 221
_space_group_name_Hall '-P 4 2 3'
loop_
_atom_site_label
_atom_site_fract_x
_atom_site_fract_y
_atom_site_fract_z
Tl1 0.0000 0.0000 0.0000
Co1 0.5000 0.5000 0.5000
F1 0.0000 0.5000 0.5000
```

***

[3]
Theoretical powder diffraction line list of Li4V5Cr3O16 for Cu Kα X-rays, from a structure optimized by DFT (PBE+U).
Neutral-atom scattering factors, no anomalous dispersion.

Most intense lines, 10 to 80 degrees two-theta, by angle:
(hkl)	Position (°2θ)	Rel. int.
0 0 2	18.6	100.0
0 1 -1	19.7	91.0
1 1 -1	19.8	81.4
1 1 2	25.6	35.5
1 0 3	33.2	40.0
-1 1 2	35.8	55.6
2 0 -1	36.5	40.1
2 2 2	40.1	37.2
0 2 -3	45.5	35.4
2 0 5	60.6	37.4

Structural model:
```
data_Li4V5Cr3O16
_cell_length_a 5.8669
_cell_length_b 5.9028
_cell_length_c 9.5220
_cell_angle_alpha 89.96
_cell_angle_beta 89.85
_cell_angle_gamma 60.31
_space_group_name_H-M_alt 'P 1'
_space_group_IT_number 1
loop_
_space_group_symop_operation_xyz
'x,y,z'
loop_
_atom_site_label
_atom_site_fract_x
_atom_site_fract_y
_atom_site_fract_z
Li1 0.0000 0.0000 0.0000
Li2 0.0021 0.9978 0.4988
Li3 0.3290 0.3322 0.0998
Li4 0.6639 0.6653 0.6030
V1 0.1728 0.1706 0.7797
V2 0.3357 0.3314 0.5053
V3 0.3480 0.8238 0.2786
V4 0.6711 0.6693 0.0039
V5 0.8291 0.3418 0.2826
Cr1 0.1710 0.6601 0.7805
Cr2 0.6596 0.1718 0.7810
Cr3 0.8310 0.8293 0.2818
O1 0.0056 0.0047 0.6866
O2 0.0134 0.9926 0.1881
O3 0.0410 0.4724 0.6506
O4 0.1710 0.6617 0.3986
O5 0.1725 0.1637 0.3979
O6 0.3227 0.3256 0.8905
O7 0.3328 0.8356 0.8970
O8 0.4740 0.0401 0.6516
O9 0.4788 0.4768 0.6538
O10 0.5111 0.5299 0.1466
O11 0.5172 0.9596 0.1527
O12 0.6489 0.6775 0.3936
O13 0.6623 0.1704 0.3990
O14 0.8279 0.8305 0.8996
O15 0.8346 0.3330 0.8986
O16 0.9566 0.5210 0.1522
```

***

[4]
Theoretical powder diffraction line list of MgCr2Co2O8 for Cu Kα X-rays, from a structure optimized by DFT (PBE+U).
Neutral-atom scattering factors, no anomalous dispersion.

Most intense lines, 10 to 80 degrees two-theta, by angle:
(hkl)	Position (°2θ)	Rel. int.
1 1 0	20.2	36.1
1 0 1	23.2	58.4
1 0 -1	24.1	74.0
1 1 -1	25.7	66.6
1 -1 0	31.9	100.0
0 1 2	33.9	41.7
1 2 0	34.5	79.8
1 -1 2	43.5	38.9
2 0 2	47.4	63.2
1 3 -2	63.0	40.6

Structural model:
```
data_MgCr2Co2O8
_cell_length_a 5.2262
_cell_length_b 5.2280
_cell_length_c 6.2350
_cell_angle_alpha 86.31
_cell_angle_beta 86.42
_cell_angle_gamma 64.82
_space_group_name_H-M_alt 'P -1'
_space_group_IT_number 2
loop_
_space_group_symop_operation_xyz
'x,y,z'
'-x,-y,-z'
loop_
_atom_site_label
_atom_site_fract_x
_atom_site_fract_y
_atom_site_fract_z
Mg1 0.0000 0.0000 0.0000
Cr1 0.1713 0.1708 0.2987
Co1 0.5000 0.5000 0.0000
Co2 0.5000 0.5000 0.5000
O1 0.2055 0.7316 0.7511
O2 0.2608 0.2609 0.5212
O3 0.2685 0.7943 0.2494
O4 0.2708 0.2702 0.0589
```

***

[5]
Theoretical powder diffraction line list of Li2V3CrO8 for Cu Kα X-rays, from a structure optimized by DFT (PBE+U).
Neutral-atom scattering factors, no anomalous dispersion.

Most intense lines, 10 to 80 degrees two-theta, by angle:
(hkl)	Position (°2θ)	Rel. int.
0 0 2	18.4	87.5
1 1 -1	19.6	100.0
1 1 1	19.8	52.7
1 1 -2	25.4	36.4
1 3 -2	35.6	40.4
0 4 1	36.3	43.8
2 2 -2	39.8	45.1
0 4 3	45.3	30.8
2 2 3	45.7	30.3
2 6 0	62.9	41.3

Structural model:
```
data_Li2V3CrO8
_cell_length_a 5.8834
_cell_length_b 10.2501
_cell_length_c 9.6221
_cell_angle_alpha 90.00
_cell_angle_beta 90.66
_cell_angle_gamma 90.00
_space_group_name_H-M_alt 'C 1 c 1'
_space_group_IT_number 9
loop_
_space_group_symop_operation_xyz
'x,y,z'
'x,-y,z+1/2'
'x+1/2,y+1/2,z'
'x+1/2,-y+1/2,z+1/2'
loop_
_atom_site_label
_atom_site_fract_x
_atom_site_fract_y
_atom_site_fract_z
Li1 0.0000 0.0012 0.0000
Li2 0.4995 0.1670 0.3987
V1 0.0027 0.1701 0.2181
V2 0.2435 0.4148 0.2125
V3 0.2574 0.0829 0.7187
Cr1 0.4977 0.1687 0.9891
O1 0.0037 0.1625 0.6074
O2 0.0071 0.0022 0.3152
O3 0.2137 0.2549 0.3410
O4 0.2469 0.0833 0.1083
O5 0.2571 0.4146 0.6077
O6 0.2772 0.2404 0.8430
O7 0.4806 0.1715 0.6033
O8 0.4906 0.0202 0.8429
```

***

[6]
Theoretical powder diffraction line list of Li2MnF4 for Cu Kα X-rays, from a structure optimized by DFT (PBE+U).
Neutral-atom scattering factors, no anomalous dispersion.

Most intense lines, 10 to 80 degrees two-theta, by angle:
(hkl)	Position (°2θ)	Rel. int.
0 0 1	11.6	36.5
2 0 -1	15.0	39.3
2 0 0	15.1	73.5
2 0 1	22.5	23.1
0 0 2	23.4	50.4
1 1 -1	25.7	100.0
4 0 -1	27.9	46.6
0 0 3	35.4	34.9
6 0 -1	42.8	36.7
0 2 0	47.2	38.4

Structural model:
```
data_Li2MnF4
_cell_length_a 12.8061
_cell_length_b 3.8537
_cell_length_c 8.2866
_cell_angle_alpha 90.00
_cell_angle_beta 113.33
_cell_angle_gamma 90.00
_space_group_name_H-M_alt 'C 1 2/m 1'
_space_group_IT_number 12
loop_
_space_group_symop_operation_xyz
'x,y,z'
'-x,-y,-z'
'-x,y,-z'
'x,-y,z'
'x+1/2,y+1/2,z'
'-x+1/2,-y+1/2,-z'
'-x+1/2,y+1/2,-z'
'x+1/2,-y+1/2,z'
loop_
_atom_site_label
_atom_site_fract_x
_atom_site_fract_y
_atom_site_fract_z
Li1 0.0646 0.0000 0.4092
Li2 0.1085 0.5000 0.7735
Mn1 0.1935 0.5000 0.2621
F1 0.0511 0.5000 0.3395
F2 0.1184 0.0000 0.6654
F3 0.1475 0.5000 0.0067
F4 0.2071 0.0000 0.3621
```

***

[7]
Theoretical powder diffraction line list of V4Cu9Cl2O18 for Cu Kα X-rays, from a structure optimized by DFT (PBE+U).
Neutral-atom scattering factors, no anomalous dispersion.

Most intense lines, 10 to 80 degrees two-theta, by angle:
(hkl)	Position (°2θ)	Rel. int.
0 1 -1	12.9	88.2
1 0 -1	16.0	57.9
1 1 0	21.7	66.7
0 1 2	26.3	100.0
2 -1 0	27.6	70.3
0 2 1	28.3	90.8
0 0 3	30.5	83.5
0 3 -1	33.7	58.5
0 3 -2	35.1	62.7
2 1 -2	35.8	64.4

Structural model:
```
data_V4Cu9Cl2O18
_cell_length_a 6.5097
_cell_length_b 8.3800
_cell_length_c 9.2986
_cell_angle_alpha 104.94
_cell_angle_beta 96.06
_cell_angle_gamma 107.78
_space_group_name_H-M_alt 'P -1'
_space_group_IT_number 2
loop_
_space_group_symop_operation_xyz
'x,y,z'
'-x,-y,-z'
loop_
_atom_site_label
_atom_site_fract_x
_atom_site_fract_y
_atom_site_fract_z
V1 0.1103 0.0835 0.3500
V2 0.3245 0.7498 0.8512
Cu1 0.0000 0.5000 0.0000
Cu2 0.0000 0.5000 0.5000
Cu3 0.1409 0.2177 0.0300
Cu4 0.1693 0.3315 0.6878
Cu5 0.4177 0.0456 0.6424
Cu6 0.5000 0.5000 0.0000
Cl1 0.3482 0.6305 0.2767
O1 0.0902 0.2806 0.4645
O2 0.1083 0.0844 0.1664
O3 0.1221 0.7256 0.9677
O4 0.1394 0.0918 0.6594
O5 0.1909 0.3897 0.9058
O6 0.2135 0.5686 0.6835
O7 0.3402 0.0363 0.4191
O8 0.3913 0.9390 0.8068
O9 0.4506 0.2817 0.0495
```